For Ca4Si3B5H5O20, a PBE-relaxed structure gives the simulated PXRD pattern in this record (Cu Kα (λ = 1.5418 Å)).

Atomic structure:
```
Ca4Si3B5H5O20
1.0
4.874 0.000 0.000
0.039 7.658 0.000
0.068 0.051 9.594
Ca Si B H O
4 3 5 5 20
Direct
0.000 0.000 0.000
0.007 0.291 0.505
0.976 0.778 0.332
0.989 0.503 0.835
0.464 0.630 0.582
0.527 0.138 0.254
0.527 0.160 0.755
0.425 0.985 0.510
0.428 0.313 0.010
0.484 0.640 0.076
0.557 0.798 0.835
0.563 0.491 0.318
0.193 0.443 0.235
0.197 0.857 0.742
0.429 0.864 0.163
0.797 0.931 0.594
0.799 0.366 0.092
0.238 0.492 0.629
0.249 0.807 0.833
0.256 0.483 0.327
0.285 0.783 0.127
0.303 0.809 0.522
0.319 0.064 0.379
0.319 0.236 0.880
0.320 0.197 0.126
0.321 0.491 0.026
0.324 0.093 0.628
0.661 0.718 0.963
0.662 0.592 0.197
0.664 0.696 0.711
0.670 0.567 0.451
0.674 0.979 0.820
0.688 0.311 0.313
0.733 0.978 0.504
0.737 0.306 0.007
0.737 0.987 0.204
0.758 0.294 0.706
```

Largest 6 diffraction maxima, by angle, 10 to 90 degrees two-theta:
| index | Position (°2θ) | I_rel |
| --- | --- | --- |
| -1 1 1 | 23.58 | 61 |
| 1 -1 2 | 28.64 | 98 |
| 1 -2 1 | 31.18 | 100 |
| -1 1 3 | 35.67 | 51 |
| 0 3 2 | 39.94 | 48 |
| 1 -2 3 | 41.26 | 51 |